BaLi3Zn2: computed X-ray powder pattern (CuKα), based on a structure optimized by DFT (PBE).
Neutral-atom scattering factors, no anomalous dispersion.

Largest 8 diffraction maxima, sorted by position, 2θ = 10–90°:
11.3°, rel. 56; 25.4°, rel. 27; 26.5°, rel. 100; 28.5°, rel. 49; 30.1°, rel. 25; 35.3°, rel. 22; 37.8°, rel. 28; 38.9°, rel. 23

Atomic structure:
Lattice parameters (Å, degrees): 8.396 8.396 8.623 113.93 113.93 32.05
Atoms (fractional coordinates):
Ba  0.157  0.157  0.075
Ba  0.843  0.843  0.925
Li  0.031  0.031  0.360
Li  0.318  0.318  0.547
Li  0.420  0.420  0.347
Li  0.580  0.580  0.653
Li  0.682  0.682  0.453
Li  0.969  0.969  0.640
Zn  0.174  0.174  0.662
Zn  0.481  0.481  0.835
Zn  0.519  0.519  0.165
Zn  0.826  0.826  0.338

---

MgMo2: computed X-ray powder pattern (CuKα), based on a structure optimized by DFT (PBE).
Neutral-atom scattering factors, no anomalous dispersion.

Largest 8 diffraction maxima, sorted by position, 2θ = 10–90°:
22.0°, rel. 50; 22.4°, rel. 24; 37.9°, rel. 46; 38.3°, rel. 55; 39.1°, rel. 100; 42.7°, rel. 94; 55.0°, rel. 30; 84.1°, rel. 21

Atomic structure:
Lattice parameters (Å, degrees): 8.051 8.051 4.702 90.00 90.00 161.00
Atoms (fractional coordinates):
Mg  0.118  0.882  0.750
Mg  0.882  0.118  0.250
Mo  0.213  0.787  0.250
Mo  0.454  0.546  0.750
Mo  0.546  0.454  0.250
Mo  0.787  0.213  0.750

---

DyCrS4: computed X-ray powder pattern (CuKα), based on a structure optimized by DFT (PBE).
Neutral-atom scattering factors, no anomalous dispersion.

Largest 8 diffraction maxima, sorted by position, 2θ = 10–90°:
17.2°, rel. 100; 24.0°, rel. 67; 26.4°, rel. 37; 26.9°, rel. 37; 27.2°, rel. 58; 34.2°, rel. 48; 39.4°, rel. 46; 43.2°, rel. 49

Atomic structure:
Lattice parameters (Å, degrees): 7.006 7.006 5.879 108.84 108.84 109.09
Atoms (fractional coordinates):
Dy  0.131  0.869  0.750
Dy  0.869  0.131  0.250
Cr  0.495  0.505  0.250
Cr  0.505  0.495  0.750
S  0.159  0.284  0.794
S  0.236  0.555  0.432
S  0.284  0.159  0.294
S  0.445  0.764  0.068
S  0.555  0.236  0.932
S  0.716  0.841  0.706
S  0.764  0.445  0.568
S  0.841  0.716  0.206

---

CsMn2HgI8: computed X-ray powder pattern (CuKα), based on a structure optimized by DFT (PBE).
Neutral-atom scattering factors, no anomalous dispersion.

Largest 8 diffraction maxima, sorted by position, 2θ = 10–90°:
17.6°, rel. 25; 24.9°, rel. 30; 25.2°, rel. 88; 29.1°, rel. 100; 41.4°, rel. 53; 41.9°, rel. 53; 49.3°, rel. 27; 51.8°, rel. 20

Atomic structure:
Lattice parameters (Å, degrees): 11.579 11.579 11.579 37.63 37.63 37.63
Atoms (fractional coordinates):
Cs  0.000  0.000  0.000
Mn  0.246  0.246  0.246
Mn  0.754  0.754  0.754
Hg  0.500  0.500  0.500
I  0.116  0.434  0.780
I  0.220  0.884  0.566
I  0.327  0.327  0.327
I  0.434  0.780  0.116
I  0.566  0.220  0.884
I  0.673  0.673  0.673
I  0.780  0.116  0.434
I  0.884  0.566  0.220